# 1
Starting from a structure optimized by DFT (PBE), the X-ray diffraction stick pattern of Tb2Ti2Fe22H was calculated for Cu Kα, 1.54184 Å.

Top 10 peaks for 5° ≤ 2θ ≤ 70°, by intensity:
| d (Å) | 2θ (°) | I/Imax |
| --- | --- | --- |
| 2.114 | 42.77 | 100 |
| 2.079 | 43.52 | 71 |
| 2.126 | 42.52 | 60 |
| 2.437 | 36.89 | 45 |
| 2.973 | 30.06 | 40 |
| 1.868 | 48.75 | 24 |
| 2.384 | 37.73 | 16 |
| 2.689 | 33.31 | 14 |
| 1.487 | 62.45 | 9 |
| 1.784 | 51.21 | 9 |

Atomic structure:
Unit cell a=6.4759 b=6.4759 c=12.0125 alpha=90.06 beta=90.06 gamma=43.20
Element x y z (fractional)
Tb 0.0000 0.0000 0.0000
Tb 0.5002 0.5002 0.5000
Ti 0.3140 0.3140 0.3143
Ti 0.8142 0.8142 0.8137
Fe 0.1079 0.1079 0.3848
Fe 0.1107 0.1107 0.6106
Fe 0.1744 0.1744 0.1749
Fe 0.1755 0.1755 0.8178
Fe 0.2479 0.7487 0.2466
Fe 0.2493 0.7472 0.7471
Fe 0.3181 0.3181 0.6751
Fe 0.3846 0.3846 0.8847
Fe 0.3860 0.3860 0.1073
Fe 0.4960 0.9977 0.9981
Fe 0.4975 0.9961 0.4982
Fe 0.6077 0.6077 0.8861
Fe 0.6106 0.6106 0.1104
Fe 0.6748 0.6748 0.6744
Fe 0.6755 0.6755 0.3187
Fe 0.7472 0.2493 0.7471
Fe 0.7487 0.2479 0.2466
Fe 0.8185 0.8185 0.1758
Fe 0.8844 0.8844 0.3841
Fe 0.8853 0.8853 0.6080
Fe 0.9961 0.4975 0.4982
Fe 0.9977 0.4960 0.9981
H 0.9974 0.9974 0.4973

# 2
Starting from a structure optimized by DFT (PBE), the X-ray diffraction stick pattern of TiFeH2 was calculated for Cu Kα, 1.54184 Å.

Top 10 peaks for 5° ≤ 2θ ≤ 70°, by intensity:
| d (Å) | 2θ (°) | I/Imax |
| --- | --- | --- |
| 2.182 | 41.39 | 100 |
| 2.312 | 38.95 | 96 |
| 2.063 | 43.89 | 79 |
| 1.966 | 46.17 | 21 |
| 1.756 | 52.07 | 20 |
| 2.188 | 41.26 | 19 |
| 1.349 | 69.73 | 19 |
| 2.385 | 37.72 | 16 |
| 1.392 | 67.27 | 12 |
| 1.606 | 57.38 | 9 |

Atomic structure:
Unit cell a=4.6665 b=4.6665 c=2.7836 alpha=90.00 beta=90.00 gamma=97.66
Element x y z (fractional)
Ti 0.2169 0.7831 0.0000
Ti 0.7831 0.2169 0.0000
Fe 0.2953 0.2953 0.5000
Fe 0.7047 0.7047 0.5000
H 0.0000 0.0000 0.5000
H 0.0000 0.5000 0.5000
H 0.5000 0.0000 0.5000
H 0.5000 0.5000 0.0000

# 3
Starting from a structure optimized by DFT (PBE), the X-ray diffraction stick pattern of TiFeH2 was calculated for Cu Kα, 1.54184 Å.

Top 10 peaks for 5° ≤ 2θ ≤ 70°, by intensity:
| d (Å) | 2θ (°) | I/Imax |
| --- | --- | --- |
| 2.603 | 34.45 | 100 |
| 1.855 | 49.11 | 70 |
| 2.644 | 33.90 | 63 |
| 1.955 | 46.46 | 22 |
| 1.572 | 58.74 | 20 |
| 1.456 | 63.93 | 13 |
| 1.745 | 52.45 | 12 |
| 2.229 | 40.46 | 7 |
| 2.442 | 36.81 | 6 |
| 1.705 | 53.78 | 6 |

Atomic structure:
Unit cell a=5.2399 b=5.2399 c=2.6442 alpha=90.00 beta=90.00 gamma=96.50
Element x y z (fractional)
Ti 0.2181 0.2181 0.0000
Ti 0.7819 0.7819 0.0000
Fe 0.2661 0.7339 0.0000
Fe 0.7339 0.2661 0.0000
H 0.0000 0.0000 0.5000
H 0.0000 0.5000 0.0000
H 0.5000 0.0000 0.0000
H 0.5000 0.5000 0.0000

# 4
Starting from a structure optimized by DFT (PBE), the X-ray diffraction stick pattern of TiFeH was calculated for Cu Kα, 1.54184 Å.

Top 10 peaks for 5° ≤ 2θ ≤ 70°, by intensity:
| d (Å) | 2θ (°) | I/Imax |
| --- | --- | --- |
| 2.126 | 42.52 | 100 |
| 2.139 | 42.25 | 27 |
| 2.279 | 39.54 | 25 |
| 1.560 | 59.24 | 14 |
| 1.453 | 64.10 | 7 |
| 4.558 | 19.47 | 6 |
| 1.654 | 55.57 | 6 |
| 2.011 | 45.07 | 5 |
| 1.346 | 69.86 | 2 |
| 2.450 | 36.68 | 2 |

Atomic structure:
Unit cell a=4.2785 b=2.9053 c=4.5582 alpha=90.00 beta=90.00 gamma=90.00
Element x y z (fractional)
Ti 0.2500 0.0000 0.2488
Ti 0.7500 0.0000 0.7512
Fe 0.2500 0.5000 0.8028
Fe 0.7500 0.5000 0.1972
H 0.0000 0.5000 0.5000
H 0.5000 0.5000 0.5000

# 5
Starting from a structure optimized by DFT (PBE), the X-ray diffraction stick pattern of TiFeH2 was calculated for Cu Kα, 1.54184 Å.

Top 10 peaks for 5° ≤ 2θ ≤ 70°, by intensity:
| d (Å) | 2θ (°) | I/Imax |
| --- | --- | --- |
| 2.144 | 42.16 | 100 |
| 2.287 | 39.39 | 34 |
| 2.111 | 42.84 | 24 |
| 2.379 | 37.81 | 21 |
| 1.649 | 55.75 | 14 |
| 1.383 | 67.78 | 10 |
| 2.426 | 37.05 | 9 |
| 1.410 | 66.28 | 7 |
| 1.664 | 55.19 | 6 |
| 3.298 | 27.04 | 2 |

Atomic structure:
Unit cell a=2.8205 b=4.7589 c=4.5746 alpha=90.00 beta=90.00 gamma=90.00
Element x y z (fractional)
Ti 0.0000 0.2002 0.0000
Ti 0.0000 0.7998 0.5000
Fe 0.5000 0.3130 0.4997
Fe 0.5000 0.6870 0.9997
H 0.0000 0.4325 0.6596
H 0.0000 0.5675 0.1596
H 0.5000 0.0214 0.2629
H 0.5000 0.9786 0.7629

# 6
Starting from a structure optimized by DFT (PBE), the X-ray diffraction stick pattern of Ti2Fe2H3 was calculated for Cu Kα, 1.54184 Å.

Top 10 peaks for 5° ≤ 2θ ≤ 70°, by intensity:
| d (Å) | 2θ (°) | I/Imax |
| --- | --- | --- |
| 2.121 | 42.62 | 100 |
| 2.090 | 43.28 | 92 |
| 2.232 | 40.41 | 66 |
| 2.402 | 37.44 | 39 |
| 2.147 | 42.08 | 30 |
| 2.085 | 43.40 | 30 |
| 2.388 | 37.67 | 24 |
| 1.384 | 67.69 | 23 |
| 1.376 | 68.16 | 13 |
| 1.665 | 55.17 | 12 |

Atomic structure:
Unit cell a=4.4674 b=2.7517 c=4.8075 alpha=90.00 beta=92.03 gamma=90.00
Element x y z (fractional)
Ti 0.0000 0.0000 0.0000
Ti 0.4765 0.0000 0.3858
Fe 0.4903 0.5000 0.8748
Fe 0.9766 0.5000 0.5142
H 0.1587 0.0000 0.6380
H 0.6655 0.0000 0.7457
H 0.7395 0.5000 0.1996

# 7
Starting from a structure optimized by DFT (PBE), the X-ray diffraction stick pattern of YVFe11H was calculated for Cu Kα, 1.54184 Å.

Top 10 peaks for 5° ≤ 2θ ≤ 70°, by intensity:
| d (Å) | 2θ (°) | I/Imax |
| --- | --- | --- |
| 2.101 | 43.06 | 100 |
| 2.060 | 43.96 | 78 |
| 2.115 | 42.76 | 70 |
| 1.852 | 49.20 | 49 |
| 2.420 | 37.15 | 38 |
| 1.881 | 48.38 | 27 |
| 1.892 | 48.10 | 26 |
| 2.951 | 30.29 | 21 |
| 2.358 | 38.16 | 17 |
| 1.451 | 64.19 | 11 |

Atomic structure:
Unit cell a=6.4296 b=6.4296 c=6.4296 alpha=136.96 beta=97.82 gamma=97.64
Element x y z (fractional)
Y 0.0000 0.0000 0.0000
V 0.6255 0.6255 0.0000
Fe 0.2188 0.4938 0.7250
Fe 0.2222 0.7222 0.5000
Fe 0.3529 0.9938 0.3592
Fe 0.3585 0.3585 0.0000
Fe 0.4958 0.4956 0.5003
Fe 0.4958 0.9954 0.0002
Fe 0.6346 0.9938 0.6408
Fe 0.7665 0.2665 0.5000
Fe 0.7688 0.4938 0.2750
Fe 0.9952 0.4956 0.9998
Fe 0.9952 0.9954 0.4997
H 0.9953 0.4953 0.5000

# 8
Starting from a structure optimized by DFT (PBE), the X-ray diffraction stick pattern of Y2Fe17H3 was calculated for Cu Kα, 1.54184 Å.

Top 10 peaks for 5° ≤ 2θ ≤ 70°, by intensity:
| d (Å) | 2θ (°) | I/Imax |
| --- | --- | --- |
| 2.117 | 42.71 | 100 |
| 2.137 | 42.29 | 69 |
| 1.897 | 47.95 | 50 |
| 2.060 | 43.94 | 38 |
| 2.206 | 40.91 | 37 |
| 2.468 | 36.41 | 34 |
| 2.967 | 30.12 | 20 |
| 1.483 | 62.63 | 16 |
| 1.960 | 46.32 | 16 |
| 1.347 | 69.85 | 13 |

Atomic structure:
Unit cell a=8.5482 b=8.5482 c=8.2417 alpha=90.00 beta=90.00 gamma=120.00
Element x y z (fractional)
Y 0.0000 0.0000 0.2500
Y 0.0000 0.0000 0.7500
Y 0.3333 0.6667 0.2500
Y 0.6667 0.3333 0.7500
Fe 0.0000 0.5000 0.0000
Fe 0.0000 0.5000 0.5000
Fe 0.0476 0.3767 0.7500
Fe 0.0476 0.6709 0.7500
Fe 0.1669 0.3337 0.0156
Fe 0.1669 0.3337 0.4844
Fe 0.1669 0.8331 0.0156
Fe 0.1669 0.8331 0.4844
Fe 0.3291 0.3767 0.7500
Fe 0.3291 0.9524 0.7500
Fe 0.3333 0.6667 0.6055
Fe 0.3333 0.6667 0.8945
Fe 0.3337 0.1669 0.5156
Fe 0.3337 0.1669 0.9844
Fe 0.3767 0.0476 0.2500
Fe 0.3767 0.3291 0.2500
Fe 0.5000 0.0000 0.0000
Fe 0.5000 0.0000 0.5000
Fe 0.5000 0.5000 0.0000
Fe 0.5000 0.5000 0.5000
Fe 0.6233 0.6709 0.7500
Fe 0.6233 0.9524 0.7500
Fe 0.6663 0.8331 0.0156
Fe 0.6663 0.8331 0.4844
Fe 0.6667 0.3333 0.1055
Fe 0.6667 0.3333 0.3945
Fe 0.6709 0.0476 0.2500
Fe 0.6709 0.6233 0.2500
Fe 0.8331 0.1669 0.5156
Fe 0.8331 0.1669 0.9844
Fe 0.8331 0.6663 0.5156
Fe 0.8331 0.6663 0.9844
Fe 0.9524 0.3291 0.2500
Fe 0.9524 0.6233 0.2500
H 0.1648 0.3296 0.2500
H 0.1648 0.8352 0.2500
H 0.3296 0.1648 0.7500
H 0.6704 0.8352 0.2500
H 0.8352 0.1648 0.7500
H 0.8352 0.6704 0.7500

- What is the formula in the sixth record?
  Ti2Fe2H3

- Number 5 is which compound?
  TiFeH2

- Which formula does entry 8 have?
  Y2Fe17H3